No. 1
# Ca2GaGe3Pd4
Calculated powder X-ray diffraction pattern, Cu Ka. Input: a crystal structure in Alexandria, relaxed with GGA-PBE.
Neutral-atom scattering factors, no anomalous dispersion.

Structural model:
```
data_Ca2GaGe3Pd4
_symmetry_space_group_name_H-M 'P -4 m 2'
_symmetry_Int_Tables_number 115
_cell_length_a 4.2355
_cell_length_b 4.2355
_cell_length_c 10.6711
_cell_angle_alpha 90.00
_cell_angle_beta 90.00
_cell_angle_gamma 90.00
loop_
_symmetry_equiv_pos_as_xyz
'x,y,z'
'y,-x,-z'
'-x,-y,z'
'-y,x,-z'
'-x,y,z'
'-y,-x,-z'
'x,-y,z'
'y,x,-z'
loop_
_atom_site_label
_atom_site_fract_x
_atom_site_fract_y
_atom_site_fract_z
Ca1 0.0000 0.5000 0.2495
Ga1 0.0000 0.0000 0.5000
Ge1 0.0000 0.5000 0.8689
Ge2 0.5000 0.5000 0.5000
Pd1 0.0000 0.0000 0.0000
Pd2 0.0000 0.5000 0.6367
Pd3 0.5000 0.5000 0.0000
```

Principal peaks in the range 2θ from 5° to 70°, in order of falling intensity:
2θ = 34.34°, intensity 100
2θ = 45.54°, intensity 75
2θ = 42.70°, intensity 74
2θ = 22.59°, intensity 43
2θ = 32.88°, intensity 40
2θ = 16.62°, intensity 34
2θ = 47.72°, intensity 26
2θ = 61.97°, intensity 24
2θ = 65.94°, intensity 19
2θ = 54.92°, intensity 18


No. 2
# Tm8Ga2Os
Calculated powder X-ray diffraction pattern, Cu Ka. Input: a crystal structure in Alexandria, relaxed with GGA-PBE.
Neutral-atom scattering factors, no anomalous dispersion.

Structural model:
```
data_Tm8Ga2Os
_symmetry_space_group_name_H-M 'C 1 2/m 1'
_symmetry_Int_Tables_number 12
_cell_length_a 17.4375
_cell_length_b 5.0172
_cell_length_c 6.7526
_cell_angle_alpha 90.00
_cell_angle_beta 109.78
_cell_angle_gamma 90.00
loop_
_symmetry_equiv_pos_as_xyz
'x,y,z'
'-x,-y,-z'
'-x,y,-z'
'x,-y,z'
'x+1/2,y+1/2,z'
'-x+1/2,-y+1/2,-z'
'-x+1/2,y+1/2,-z'
'x+1/2,-y+1/2,z'
loop_
_atom_site_label
_atom_site_fract_x
_atom_site_fract_y
_atom_site_fract_z
Tm1 0.0210 0.0000 0.2893
Tm2 0.0919 0.5000 0.9349
Tm3 0.1559 0.5000 0.4589
Tm4 0.2014 0.0000 0.8020
Ga1 0.1798 0.0000 0.2073
Os1 0.0000 0.5000 0.5000
```

Principal peaks in the range 2θ from 5° to 70°, in order of falling intensity:
2θ = 35.79°, intensity 100
2θ = 35.39°, intensity 90
2θ = 32.63°, intensity 82
2θ = 31.62°, intensity 69
2θ = 32.22°, intensity 67
2θ = 36.70°, intensity 51
2θ = 30.63°, intensity 50
2θ = 64.06°, intensity 34
2θ = 30.92°, intensity 31
2θ = 51.22°, intensity 19


No. 3
# Rb2LiPuO6
Calculated powder X-ray diffraction pattern, Cu Ka. Input: a crystal structure in Alexandria, relaxed with GGA-PBE.
Neutral-atom scattering factors, no anomalous dispersion.

Structural model:
```
data_Rb2LiPuO6
_symmetry_space_group_name_H-M 'F m m m'
_symmetry_Int_Tables_number 69
_symmetry_space_group_name_Hall '-F 2 2'
_cell_length_a 8.5714
_cell_length_b 8.5755
_cell_length_c 8.5870
_cell_angle_alpha 90.00
_cell_angle_beta 90.00
_cell_angle_gamma 90.00
loop_
_atom_site_label
_atom_site_fract_x
_atom_site_fract_y
_atom_site_fract_z
Rb1 0.2500 0.2500 0.2500
Li1 0.0000 0.0000 0.0000
Pu1 0.0000 0.0000 0.5000
O1 0.0000 0.0000 0.2717
O2 0.0000 0.2287 0.5000
O3 0.2288 0.0000 0.5000
```

Principal peaks in the range 2θ from 5° to 70°, in order of falling intensity:
2θ = 29.45°, intensity 100
2θ = 17.91°, intensity 88
2θ = 34.68°, intensity 45
2θ = 52.24°, intensity 41
2θ = 42.14°, intensity 33
2θ = 61.11°, intensity 21
2θ = 55.68°, intensity 19
2θ = 46.13°, intensity 18
2θ = 64.24°, intensity 18
2θ = 69.25°, intensity 13


No. 4
# Co3C5
Calculated powder X-ray diffraction pattern, Cu Ka. Input: a crystal structure in Alexandria, relaxed with GGA-PBE.
Neutral-atom scattering factors, no anomalous dispersion.

Structural model:
```
data_Co3C5
_symmetry_space_group_name_H-M 'P 1 21/m 1'
_symmetry_Int_Tables_number 11
_cell_length_a 5.0587
_cell_length_b 5.3657
_cell_length_c 5.6737
_cell_angle_alpha 90.00
_cell_angle_beta 116.30
_cell_angle_gamma 90.00
loop_
_symmetry_equiv_pos_as_xyz
'x,y,z'
'-x,-y,-z'
'-x,y+1/2,-z'
'x,-y+1/2,z'
loop_
_atom_site_label
_atom_site_fract_x
_atom_site_fract_y
_atom_site_fract_z
Co1 0.0137 0.2500 0.0699
Co2 0.0314 0.2500 0.5129
Co3 0.4530 0.2500 0.9414
C1 0.1582 0.0028 0.8195
C2 0.3309 0.7500 0.4950
C3 0.3674 0.2500 0.3574
C4 0.4885 0.7500 0.3509
```

Principal peaks in the range 2θ from 5° to 70°, in order of falling intensity:
2θ = 33.40°, intensity 100
2θ = 39.80°, intensity 85
2θ = 52.91°, intensity 83
2θ = 19.60°, intensity 52
2θ = 49.38°, intensity 43
2θ = 35.29°, intensity 42
2θ = 36.02°, intensity 39
2θ = 25.74°, intensity 21
2θ = 51.26°, intensity 18
2θ = 17.44°, intensity 16


No. 5
# Tb2NO
Calculated powder X-ray diffraction pattern, Cu Ka. Input: a crystal structure in Alexandria, relaxed with GGA-PBE.
Neutral-atom scattering factors, no anomalous dispersion.

Structural model:
```
data_Tb2NO
_symmetry_space_group_name_H-M 'C 1 2/c 1'
_symmetry_Int_Tables_number 15
_cell_length_a 6.9126
_cell_length_b 13.8608
_cell_length_c 5.9900
_cell_angle_alpha 90.00
_cell_angle_beta 125.19
_cell_angle_gamma 90.00
loop_
_symmetry_equiv_pos_as_xyz
'x,y,z'
'-x,-y,-z'
'-x,y,-z+1/2'
'x,-y,z+1/2'
'x+1/2,y+1/2,z'
'-x+1/2,-y+1/2,-z'
'-x+1/2,y+1/2,-z+1/2'
'x+1/2,-y+1/2,z+1/2'
loop_
_atom_site_label
_atom_site_fract_x
_atom_site_fract_y
_atom_site_fract_z
Tb1 0.2400 0.0624 0.2417
Tb2 0.2455 0.1874 0.7410
N1 0.0000 0.0618 0.7500
N2 0.0000 0.1868 0.2500
O1 0.0000 0.3109 0.7500
O2 0.0000 0.4359 0.2500
```

Principal peaks in the range 2θ from 5° to 70°, in order of falling intensity:
2θ = 31.66°, intensity 100
2θ = 36.72°, intensity 75
2θ = 52.89°, intensity 42
2θ = 62.97°, intensity 37
2θ = 66.10°, intensity 13
2θ = 52.99°, intensity 8
2θ = 63.05°, intensity 7
2θ = 66.23°, intensity 4


No. 6
# Cd2PAu
Calculated powder X-ray diffraction pattern, Cu Ka. Input: a crystal structure in Alexandria, relaxed with GGA-PBE.
Neutral-atom scattering factors, no anomalous dispersion.

Structural model:
```
data_Cd2PAu
_symmetry_space_group_name_H-M 'P 1'
_symmetry_Int_Tables_number 1
_cell_length_a 5.3720
_cell_length_b 5.4238
_cell_length_c 6.1287
_cell_angle_alpha 90.37
_cell_angle_beta 101.71
_cell_angle_gamma 104.37
loop_
_symmetry_equiv_pos_as_xyz
'x,y,z'
loop_
_atom_site_label
_atom_site_fract_x
_atom_site_fract_y
_atom_site_fract_z
Cd1 0.0000 0.0000 0.0000
Cd2 0.0260 0.9315 0.5111
Cd3 0.5926 0.4039 0.0141
Cd4 0.6238 0.2928 0.5229
P1 0.1331 0.5100 0.1255
P2 0.1416 0.4627 0.4789
Au1 0.5143 0.8993 0.1629
Au2 0.5438 0.7798 0.6708
```

Principal peaks in the range 2θ from 5° to 70°, in order of falling intensity:
2θ = 35.32°, intensity 100
2θ = 34.22°, intensity 71
2θ = 17.43°, intensity 70
2θ = 37.09°, intensity 57
2θ = 16.91°, intensity 57
2θ = 29.83°, intensity 50
2θ = 34.42°, intensity 37
2θ = 42.03°, intensity 32
2θ = 38.18°, intensity 30
2θ = 63.19°, intensity 30